Computed powder diffraction line list of KLaZnWO6 for a wavelength of 1.5418 Å, from a crystal structure in Alexandria, relaxed with PBE+U.

Largest 6 diffraction maxima, by angle, 10 to 80 degrees two-theta:
2θ 19.12, rel. 31.6; 2θ 31.48, rel. 100.0; 2θ 37.09, rel. 17.1; 2θ 45.11, rel. 31.7; 2θ 56.04, rel. 39.3; 2θ 65.71, rel. 19.0

Crystal structure
```
KLaZnWO6
1.0
0.000 4.019 4.019
4.019 0.000 4.019
4.019 4.019 0.000
K La Zn W O
1 1 1 1 6
direct
0.000 0.000 0.000
0.500 0.500 0.500
0.750 0.750 0.750
0.250 0.250 0.250
0.009 0.009 0.491
0.009 0.491 0.009
0.009 0.491 0.491
0.491 0.009 0.009
0.491 0.009 0.491
0.491 0.491 0.009
```